No. 1
CsCuC3N3: computed X-ray diffraction stick pattern (Cu Kα), based on a GGA-PBE-relaxed structure.

Cell and atoms:
```
data_CsCuC3N3
_cell_length_a 10.6469
_cell_length_b 10.6469
_cell_length_c 10.6469
_cell_angle_alpha 90.00
_cell_angle_beta 90.00
_cell_angle_gamma 90.00
_symmetry_space_group_name_H-M 'F m -3 m'
_symmetry_Int_Tables_number 225
_symmetry_space_group_name_Hall '-F 4 2 3'
loop_
_atom_site_label
_atom_site_fract_x
_atom_site_fract_y
_atom_site_fract_z
Cs1 0.2500 0.2500 0.2500
Cu1 0.0000 0.0000 0.0000
Cu2 0.0000 0.0000 0.5000
C1 0.0000 0.0000 0.1942
N1 0.0000 0.0000 0.3047
```

Peak list (8 most intense, 2θ = 10–90°, sorted by position)
Position (°2θ), intensity, hkl
23.64, 100, 2 2 0
29.05, 17, 2 2 2
33.67, 38, 4 0 0
41.55, 37, 4 2 2
48.36, 21, 4 4 0
54.51, 26, 6 2 0
65.62, 25, 6 4 2
75.82, 11, 6 6 0


No. 2
Lu3Cl2: computed X-ray diffraction stick pattern (Cu Kα), based on a GGA-PBE-relaxed structure.

Cell and atoms:
```
data_Lu3Cl2
_cell_length_a 6.7096
_cell_length_b 6.7096
_cell_length_c 17.7709
_cell_angle_alpha 90.00
_cell_angle_beta 90.00
_cell_angle_gamma 120.00
_symmetry_space_group_name_H-M 'R -3 c'
_symmetry_Int_Tables_number 167
_symmetry_space_group_name_Hall '-R 3 2"c'
loop_
_atom_site_label
_atom_site_fract_x
_atom_site_fract_y
_atom_site_fract_z
Lu1 0.0000 0.3476 0.2500
Cl1 0.0000 0.0000 0.1663
```

Peak list (8 most intense, 2θ = 10–90°, sorted by position)
Position (°2θ), intensity, hkl
30.17, 17, 0 0 6
30.63, 100, 1 1 3
40.63, 25, 1 1 6
46.91, 26, 3 0 0
53.88, 21, 1 1 9
56.79, 18, 3 0 6
57.07, 17, 2 2 3
76.89, 13, 4 1 3